No. 1
Calculated XRD peak list
Compound: Dy3Sb2Pb
Radiation: Cu Kα
Structure: a structure optimized by DFT (PBE)

Atomic structure:
```
data_Dy3Sb2Pb
_cell_length_a 7.780
_cell_length_b 13.238
_cell_length_c 7.462
_cell_angle_alpha 90.00
_cell_angle_beta 109.59
_cell_angle_gamma 90.00
_symmetry_space_group_name_H-M 'C 1 2/c 1'
_symmetry_Int_Tables_number 15
loop_
_symmetry_equiv_pos_as_xyz
'x,y,z'
'-x,-y,-z'
'-x,y,-z+1/2'
'x,-y,z+1/2'
'x+1/2,y+1/2,z'
'-x+1/2,-y+1/2,-z'
'-x+1/2,y+1/2,-z+1/2'
'x+1/2,-y+1/2,z+1/2'
loop_
_atom_site_label
_atom_site_type_symbol
_atom_site_fract_x
_atom_site_fract_y
_atom_site_fract_z
_atom_site_occupancy
Dy1 Dy 0.240 0.086 0.000 1
Dy2 Dy 0.250 0.250 0.500 1
Sb1 Sb 0.000 0.084 0.250 1
Sb2 Sb 0.000 0.252 0.750 1
Pb1 Pb 0.000 0.419 0.250 1
```

Top 10 peaks for 10 to 90 degrees two-theta, low angle first:
28.69°, I 100, hkl 1 3 1
40.34°, I 27, hkl 3 3 -1
40.90°, I 13, hkl 0 6 0
41.11°, I 13, hkl 2 0 2
41.69°, I 24, hkl 1 3 -3
49.76°, I 7, hkl 4 0 0
50.73°, I 14, hkl 2 6 -2
59.40°, I 13, hkl 2 6 2
66.32°, I 12, hkl 4 6 0
68.24°, I 11, hkl 0 6 4



No. 2
Calculated XRD peak list
Compound: Tb2DyY9
Radiation: Cu Kα
Structure: a structure optimized by DFT (PBE)

Atomic structure:
```
data_Tb2DyY9
_cell_length_a 5.046
_cell_length_b 5.046
_cell_length_c 15.136
_cell_angle_alpha 90.00
_cell_angle_beta 90.00
_cell_angle_gamma 90.00
_symmetry_space_group_name_H-M 'P 4/m m m'
_symmetry_Int_Tables_number 123
_symmetry_space_group_name_Hall '-P 4 2'
loop_
_atom_site_label
_atom_site_type_symbol
_atom_site_fract_x
_atom_site_fract_y
_atom_site_fract_z
_atom_site_occupancy
Tb1 Tb 0.000 0.000 0.167 1
Dy1 Dy 0.000 0.000 0.500 1
Y1 Y 0.000 0.500 0.000 1
Y2 Y 0.000 0.500 0.334 1
Y3 Y 0.500 0.500 0.167 1
Y4 Y 0.500 0.500 0.500 1
```

Top 10 peaks for 10 to 90 degrees two-theta, low angle first:
17.58°, I 7, hkl 1 0 0
24.96°, I 6, hkl 1 1 0
30.69°, I 100, hkl 1 1 3
35.59°, I 50, hkl 2 0 0
51.21°, I 35, hkl 2 2 0
60.90°, I 41, hkl 3 1 3
63.91°, I 12, hkl 2 2 6
75.35°, I 5, hkl 4 0 0
83.52°, I 17, hkl 3 3 3
86.20°, I 16, hkl 4 2 0



Please write out number 1 again, unchanged.
Calculated XRD peak list
Compound: Dy3Sb2Pb
Radiation: Cu Kα
Structure: a structure optimized by DFT (PBE)

Atomic structure:
```
data_Dy3Sb2Pb
_cell_length_a 7.780
_cell_length_b 13.238
_cell_length_c 7.462
_cell_angle_alpha 90.00
_cell_angle_beta 109.59
_cell_angle_gamma 90.00
_symmetry_space_group_name_H-M 'C 1 2/c 1'
_symmetry_Int_Tables_number 15
loop_
_symmetry_equiv_pos_as_xyz
'x,y,z'
'-x,-y,-z'
'-x,y,-z+1/2'
'x,-y,z+1/2'
'x+1/2,y+1/2,z'
'-x+1/2,-y+1/2,-z'
'-x+1/2,y+1/2,-z+1/2'
'x+1/2,-y+1/2,z+1/2'
loop_
_atom_site_label
_atom_site_type_symbol
_atom_site_fract_x
_atom_site_fract_y
_atom_site_fract_z
_atom_site_occupancy
Dy1 Dy 0.240 0.086 0.000 1
Dy2 Dy 0.250 0.250 0.500 1
Sb1 Sb 0.000 0.084 0.250 1
Sb2 Sb 0.000 0.252 0.750 1
Pb1 Pb 0.000 0.419 0.250 1
```

Top 10 peaks for 10 to 90 degrees two-theta, low angle first:
28.69°, I 100, hkl 1 3 1
40.34°, I 27, hkl 3 3 -1
40.90°, I 13, hkl 0 6 0
41.11°, I 13, hkl 2 0 2
41.69°, I 24, hkl 1 3 -3
49.76°, I 7, hkl 4 0 0
50.73°, I 14, hkl 2 6 -2
59.40°, I 13, hkl 2 6 2
66.32°, I 12, hkl 4 6 0
68.24°, I 11, hkl 0 6 4